# 1
This entry pairs a crystal structure of PrErAl with its theoretical PXRD pattern. Radiation: Cu Kα (λ = 1.5418 Å). Structure: a cell relaxed with PBE.

Most intense lines, 2θ = 15–90°, by angle:
(hkl)	2θ (°)	I/Imax
0 0 4	26.06	24
1 0 1	26.30	43
1 0 3	32.25	100
1 1 0	36.32	41
1 1 4	45.24	22
2 0 0	52.31	15
1 0 7	53.73	19
1 1 6	54.76	15
2 1 3	62.80	29
2 1 7	78.29	12

```
data_PrErAl
_chemical_formula_sum 'Pr2 Er2 Al2'
_symmetry_space_group_name_H-M 'I 4 m m'
_symmetry_Int_Tables_number 107
_symmetry_space_group_name_Hall 'I 4 -2'
_cell_length_a 3.498
_cell_length_b 3.498
_cell_length_c 13.679
_cell_angle_alpha 90.00
_cell_angle_beta 90.00
_cell_angle_gamma 90.00
loop_
_atom_site_label
_atom_site_type_symbol
_atom_site_fract_x
_atom_site_fract_y
_atom_site_fract_z
Pr1 Pr 0.000 0.000 0.000
Er1 Er 0.000 0.000 0.706
Al1 Al 0.000 0.000 0.344
```



# 2
This entry pairs a crystal structure of Li2Tb3Cu7 with its theoretical PXRD pattern. Radiation: Cu Kα (λ = 1.5418 Å). Structure: a cell relaxed with PBE.

Most intense lines, 2θ = 15–90°, by angle:
(hkl)	2θ (°)	I/Imax
1 0 1	19.78	31
1 0 7	32.11	91
1 1 0	34.02	50
0 1 8	35.15	80
0 2 1	39.66	81
1 1 6	40.68	100
2 1 7	59.68	31
1 2 8	61.61	31
2 0 14	67.15	33
2 2 0	71.61	30

```
data_Li2Tb3Cu7
_chemical_formula_sum 'Li6 Tb9 Cu21'
_symmetry_space_group_name_H-M 'R -3 m'
_symmetry_Int_Tables_number 166
_symmetry_space_group_name_Hall '-R 3 2"'
_cell_length_a 5.2709
_cell_length_b 5.2709
_cell_length_c 24.6429
_cell_angle_alpha 90.00
_cell_angle_beta 90.00
_cell_angle_gamma 120.00
loop_
_atom_site_label
_atom_site_type_symbol
_atom_site_fract_x
_atom_site_fract_y
_atom_site_fract_z
Li1 Li 0.0000 0.0000 0.1679
Tb1 Tb 0.0000 0.0000 0.3618
Tb2 Tb 0.0000 0.0000 0.5000
Cu1 Cu 0.0000 0.0000 0.0000
Cu2 Cu 0.9999 0.5000 0.4172
```



# 3
This entry pairs a crystal structure of KZnBrF2 with its theoretical PXRD pattern. Radiation: Cu Kα (λ = 1.5418 Å). Structure: a cell relaxed with PBE.

Most intense lines, 2θ = 15–90°, by angle:
(hkl)	2θ (°)	I/Imax
0 4 0	27.77	17
0 4 1	30.14	17
1 3 1	32.71	29
1 1 2	32.98	100
1 3 2	38.62	16
2 0 0	45.17	20
0 0 4	47.22	12
1 5 2	48.23	16
2 0 4	67.40	10
3 1 2	75.56	8

```
data_KZnBrF2
_chemical_formula_sum 'K4 Zn4 Br4 F8'
_symmetry_space_group_name_H-M 'C m c m'
_symmetry_Int_Tables_number 63
_symmetry_space_group_name_Hall '-C 2c 2'
_cell_length_a 4.016
_cell_length_b 12.850
_cell_length_c 7.700
_cell_angle_alpha 90.00
_cell_angle_beta 90.00
_cell_angle_gamma 90.00
loop_
_atom_site_label
_atom_site_type_symbol
_atom_site_fract_x
_atom_site_fract_y
_atom_site_fract_z
K1 K 0.000 0.228 0.250
Zn1 Zn 0.000 0.500 0.000
Br1 Br 0.000 0.038 0.750
F1 F 0.000 0.356 0.544
```



# 4
This entry pairs a crystal structure of CuB4O7 with its theoretical PXRD pattern. Radiation: Cu Kα (λ = 1.5418 Å). Structure: a cell relaxed with PBE.

Most intense lines, 2θ = 15–90°, by angle:
(hkl)	2θ (°)	I/Imax
2 0 0	16.29	32
1 1 1	23.42	63
2 2 0	31.83	93
0 2 1	32.33	28
3 1 1	33.14	100
2 0 2	38.67	29
1 3 1	45.80	32
5 1 1	47.40	32
2 2 2	47.89	31
4 0 2	48.67	58

```
data_CuB4O7
_chemical_formula_sum 'Cu4 B16 O28'
_symmetry_space_group_name_H-M 'C m c m'
_symmetry_Int_Tables_number 63
_symmetry_space_group_name_Hall '-C 2c 2'
_cell_length_a 10.885
_cell_length_b 6.567
_cell_length_c 5.153
_cell_angle_alpha 90.00
_cell_angle_beta 90.00
_cell_angle_gamma 90.00
loop_
_atom_site_label
_atom_site_type_symbol
_atom_site_fract_x
_atom_site_fract_y
_atom_site_fract_z
Cu1 Cu 0.000 0.218 0.250
B1 B 0.114 0.311 0.750
B2 B 0.204 0.000 0.000
O1 O 0.000 0.420 0.750
O2 O 0.128 0.182 0.521
O3 O 0.220 0.477 0.750
```



# 5
This entry pairs a crystal structure of Y5TmTh2 with its theoretical PXRD pattern. Radiation: Cu Kα (λ = 1.5418 Å). Structure: a cell relaxed with PBE.

Most intense lines, 2θ = 15–90°, by angle:
(hkl)	2θ (°)	I/Imax
0 2 2	19.92	58
0 4 0	26.59	64
2 1 1	29.03	52
0 0 4	29.96	85
1 4 1	30.88	73
2 0 2	31.13	100
2 3 1	34.76	62
1 4 3	37.68	74
0 4 4	40.49	37
4 0 0	56.13	37

```
data_Y5TmTh2
_chemical_formula_sum 'Y20 Tm4 Th8'
_symmetry_space_group_name_H-M 'I m m a'
_symmetry_Int_Tables_number 74
_symmetry_space_group_name_Hall '-I 2b 2'
_cell_length_a 6.556
_cell_length_b 13.409
_cell_length_c 11.928
_cell_angle_alpha 90.00
_cell_angle_beta 90.00
_cell_angle_gamma 90.00
loop_
_atom_site_label
_atom_site_type_symbol
_atom_site_fract_x
_atom_site_fract_y
_atom_site_fract_z
Y1 Y 0.000 0.118 0.030
Y2 Y 0.000 0.250 0.515
Y3 Y 0.250 0.018 0.750
Tm1 Tm 0.000 0.250 0.794
Th1 Th 0.000 0.000 0.500
Th2 Th 0.250 0.250 0.250
```



Please write out number 1 again, unchanged.
This entry pairs a crystal structure of PrErAl with its theoretical PXRD pattern. Radiation: Cu Kα (λ = 1.5418 Å). Structure: a cell relaxed with PBE.

Most intense lines, 2θ = 15–90°, by angle:
(hkl)	2θ (°)	I/Imax
0 0 4	26.06	24
1 0 1	26.30	43
1 0 3	32.25	100
1 1 0	36.32	41
1 1 4	45.24	22
2 0 0	52.31	15
1 0 7	53.73	19
1 1 6	54.76	15
2 1 3	62.80	29
2 1 7	78.29	12

```
data_PrErAl
_chemical_formula_sum 'Pr2 Er2 Al2'
_symmetry_space_group_name_H-M 'I 4 m m'
_symmetry_Int_Tables_number 107
_symmetry_space_group_name_Hall 'I 4 -2'
_cell_length_a 3.498
_cell_length_b 3.498
_cell_length_c 13.679
_cell_angle_alpha 90.00
_cell_angle_beta 90.00
_cell_angle_gamma 90.00
loop_
_atom_site_label
_atom_site_type_symbol
_atom_site_fract_x
_atom_site_fract_y
_atom_site_fract_z
Pr1 Pr 0.000 0.000 0.000
Er1 Er 0.000 0.000 0.706
Al1 Al 0.000 0.000 0.344
```